Simulated powder diffractogram of TaFeO4 for Cu Kα X-rays, from DFT lattice parameters and positions (GGA+U).
Intensities are scaled so that the largest is 100.

a b c (Å): 10.373 10.373 10.373
angles (deg): 142.33 142.33 54.34
Element x y z (fractional)
Ta (0.000, 0.000, 0.000)
Ta (0.172, 0.172, 0.000)
Ta (0.409, 0.909, 0.500)
Ta (0.659, 0.659, 0.000)
Ta (0.750, 0.250, 0.500)
Ta (0.922, 0.422, 0.500)
Fe (0.086, 0.586, 0.500)
Fe (0.246, 0.746, 0.500)
Fe (0.336, 0.336, 0.000)
Fe (0.496, 0.496, 0.000)
Fe (0.579, 0.079, 0.500)
Fe (0.829, 0.829, 0.000)
O (0.024, 0.332, 0.692)
O (0.082, 0.274, 0.192)
O (0.082, 0.890, 0.808)
O (0.135, 0.834, 0.301)
O (0.193, 0.497, 0.696)
O (0.247, 0.051, 0.804)
O (0.247, 0.443, 0.196)
O (0.297, 0.997, 0.300)
O (0.366, 0.665, 0.701)
O (0.415, 0.215, 0.799)
O (0.415, 0.616, 0.201)
O (0.469, 0.167, 0.302)
O (0.533, 0.834, 0.699)
O (0.584, 0.385, 0.801)
O (0.584, 0.783, 0.199)
O (0.640, 0.332, 0.308)
O (0.696, 0.997, 0.700)
O (0.747, 0.547, 0.800)
O (0.747, 0.946, 0.200)
O (0.801, 0.497, 0.304)
O (0.865, 0.167, 0.698)
O (0.917, 0.115, 0.198)
O (0.917, 0.719, 0.802)
O (0.965, 0.665, 0.299)

Peak list (8 most intense, 2θ from 10° to 80°, sorted by position)
2theta	d_spacing	I/Imax
21.1	4.214	27
26.6	3.349	100
34.8	2.580	75
38.0	2.368	22
52.4	1.745	63
54.8	1.675	16
62.0	1.498	15
66.6	1.405	19